No. 1
Simulated powder diffractogram
Compound: NaVSiBi2
Radiation: a wavelength of 1.5418 Å
Structure: a cell relaxed with PBE
Intensities are scaled so that the largest is 100.

Crystal structure
```
data_NaVSiBi2
_cell_length_a 5.5535
_cell_length_b 5.5535
_cell_length_c 4.7552
_cell_angle_alpha 90.00
_cell_angle_beta 90.00
_cell_angle_gamma 90.00
_symmetry_space_group_name_H-M 'P 1'
_symmetry_Int_Tables_number 1
_symmetry_space_group_name_Hall 'P 1'
loop_
_atom_site_label
_atom_site_type_symbol
_atom_site_fract_x
_atom_site_fract_y
_atom_site_fract_z
Na1 Na 0.0000 0.0000 0.0000
V1 V 0.5000 0.5000 0.0000
Si1 Si 0.5000 0.5000 0.5000
Bi1 Bi 0.0000 0.5000 0.5000
Bi2 Bi 0.5000 0.0000 0.5000
```

Peak list (6 most intense, 5° ≤ 2θ ≤ 70°, sorted by position)
Position (°2θ)	I_rel
18.66	46.9
22.64	41.6
29.50	100.0
32.24	50.6
37.51	34.3
55.80	34.2

***

No. 2
Simulated powder diffractogram
Compound: Tb3Sm4Rh4
Radiation: a wavelength of 1.5418 Å
Structure: a cell relaxed with PBE
Intensities are scaled so that the largest is 100.

Crystal structure
```
data_Tb3Sm4Rh4
_cell_length_a 9.4775
_cell_length_b 9.4775
_cell_length_c 9.4775
_cell_angle_alpha 157.39
_cell_angle_beta 123.28
_cell_angle_gamma 61.85
_symmetry_space_group_name_H-M 'P 1'
_symmetry_Int_Tables_number 1
_symmetry_space_group_name_Hall 'P 1'
loop_
_atom_site_label
_atom_site_type_symbol
_atom_site_fract_x
_atom_site_fract_y
_atom_site_fract_z
Tb1 Tb 0.0000 0.0000 0.0000
Tb2 Tb 0.3998 0.8998 0.5000
Tb3 Tb 0.6002 0.1002 0.5000
Sm1 Sm 0.0222 0.3357 0.6864
Sm2 Sm 0.3507 0.6643 0.6864
Sm3 Sm 0.6493 0.3357 0.3136
Sm4 Sm 0.9778 0.6643 0.3136
Rh1 Rh 0.2575 0.2575 0.0000
Rh2 Rh 0.2838 0.5000 0.7838
Rh3 Rh 0.7162 0.5000 0.2162
Rh4 Rh 0.7425 0.7425 0.0000
```

Peak list (6 most intense, 5° ≤ 2θ ≤ 70°, sorted by position)
Position (°2θ)	I_rel
29.17	31.3
31.71	72.7
34.16	100.0
38.78	26.5
49.04	18.3
61.61	20.1

***

No. 3
Simulated powder diffractogram
Compound: LiTm2Zn3
Radiation: a wavelength of 1.5418 Å
Structure: a cell relaxed with PBE
Intensities are scaled so that the largest is 100.

Crystal structure
```
data_LiTm2Zn3
_cell_length_a 4.8441
_cell_length_b 4.8441
_cell_length_c 11.7889
_cell_angle_alpha 90.00
_cell_angle_beta 90.00
_cell_angle_gamma 120.00
_symmetry_space_group_name_H-M 'P 1'
_symmetry_Int_Tables_number 1
_symmetry_space_group_name_Hall 'P 1'
loop_
_atom_site_label
_atom_site_type_symbol
_atom_site_fract_x
_atom_site_fract_y
_atom_site_fract_z
Li1 Li 0.3333 0.6667 0.1649
Li2 Li 0.6667 0.3333 0.8351
Tm1 Tm 0.0000 0.0000 0.0000
Tm2 Tm 0.0000 0.0000 0.5000
Tm3 Tm 0.3333 0.6667 0.6780
Tm4 Tm 0.6667 0.3333 0.3220
Zn1 Zn 0.0000 0.0000 0.2457
Zn2 Zn 0.0000 0.0000 0.7543
Zn3 Zn 0.3333 0.6667 0.4084
Zn4 Zn 0.3333 0.6667 0.9269
Zn5 Zn 0.6667 0.3333 0.0731
Zn6 Zn 0.6667 0.3333 0.5916
```

Peak list (6 most intense, 5° ≤ 2θ ≤ 70°, sorted by position)
Position (°2θ)	I_rel
22.50	36.7
26.07	20.7
37.12	100.0
37.29	95.5
53.63	33.1
67.02	33.3

***

No. 4
Simulated powder diffractogram
Compound: Pm2DyHo12
Radiation: a wavelength of 1.5418 Å
Structure: a cell relaxed with PBE
Intensities are scaled so that the largest is 100.

Crystal structure
```
data_Pm2DyHo12
_cell_length_a 6.6039
_cell_length_b 6.6039
_cell_length_c 24.3343
_cell_angle_alpha 92.20
_cell_angle_beta 92.20
_cell_angle_gamma 115.31
_symmetry_space_group_name_H-M 'P 1'
_symmetry_Int_Tables_number 1
_symmetry_space_group_name_Hall 'P 1'
loop_
_atom_site_label
_atom_site_type_symbol
_atom_site_fract_x
_atom_site_fract_y
_atom_site_fract_z
Pm1 Pm 0.0680 0.0680 0.2721
Pm2 Pm 0.4312 0.4312 0.7278
Pm3 Pm 0.5688 0.5688 0.2722
Pm4 Pm 0.9320 0.9320 0.7279
Dy1 Dy 0.2501 0.2501 0.0002
Dy2 Dy 0.7499 0.7499 0.9998
Ho1 Ho 0.0502 0.5509 0.2004
Ho2 Ho 0.0833 0.5828 0.3309
Ho3 Ho 0.1384 0.6378 0.5548
Ho4 Ho 0.1422 0.1422 0.5722
Ho5 Ho 0.2155 0.2155 0.8645
Ho6 Ho 0.2312 0.7312 0.9263
Ho7 Ho 0.2688 0.7688 0.0737
Ho8 Ho 0.2847 0.2847 0.1360
Ho9 Ho 0.3573 0.3573 0.4283
Ho10 Ho 0.3622 0.8616 0.4452
Ho11 Ho 0.4172 0.9167 0.6691
Ho12 Ho 0.4491 0.9498 0.7996
Ho13 Ho 0.5509 0.0502 0.2004
Ho14 Ho 0.5828 0.0833 0.3309
Ho15 Ho 0.6378 0.1384 0.5548
Ho16 Ho 0.6427 0.6427 0.5717
Ho17 Ho 0.7153 0.7153 0.8640
Ho18 Ho 0.7312 0.2312 0.9263
Ho19 Ho 0.7688 0.2688 0.0737
Ho20 Ho 0.7845 0.7845 0.1355
Ho21 Ho 0.8578 0.8578 0.4278
Ho22 Ho 0.8616 0.3622 0.4452
Ho23 Ho 0.9167 0.4172 0.6691
Ho24 Ho 0.9498 0.4491 0.7996
```

Peak list (6 most intense, 5° ≤ 2θ ≤ 70°, sorted by position)
Position (°2θ)	I_rel
30.37	100.0
31.35	56.8
32.08	84.5
32.46	42.5
32.66	75.8
33.62	44.4

***

No. 5
Simulated powder diffractogram
Compound: CsPb2C2O6
Radiation: a wavelength of 1.5418 Å
Structure: a cell relaxed with PBE
Intensities are scaled so that the largest is 100.

Crystal structure
```
data_CsPb2C2O6
_cell_length_a 4.7849
_cell_length_b 6.2931
_cell_length_c 7.9581
_cell_angle_alpha 66.75
_cell_angle_beta 74.81
_cell_angle_gamma 73.84
_symmetry_space_group_name_H-M 'P 1'
_symmetry_Int_Tables_number 1
_symmetry_space_group_name_Hall 'P 1'
loop_
_atom_site_label
_atom_site_type_symbol
_atom_site_fract_x
_atom_site_fract_y
_atom_site_fract_z
Cs1 Cs 0.0000 0.0000 0.0000
Pb1 Pb 0.1518 0.2518 0.3850
Pb2 Pb 0.8482 0.7482 0.6150
C1 C 0.4938 0.6902 0.3208
C2 C 0.5062 0.3098 0.6792
O1 O 0.2163 0.6617 0.3626
O2 O 0.3115 0.4251 0.7724
O3 O 0.4450 0.1548 0.6290
O4 O 0.5550 0.8452 0.3710
O5 O 0.6885 0.5749 0.2276
O6 O 0.7837 0.3383 0.6374
```

Peak list (6 most intense, 5° ≤ 2θ ≤ 70°, sorted by position)
Position (°2θ)	I_rel
12.29	97.5
24.25	100.0
27.53	60.2
28.90	78.7
29.82	82.0
30.61	72.3

***

No. 6
Simulated powder diffractogram
Compound: Y3Ga7Au2
Radiation: a wavelength of 1.5418 Å
Structure: a cell relaxed with PBE
Intensities are scaled so that the largest is 100.

Crystal structure
```
data_Y3Ga7Au2
_cell_length_a 4.2468
_cell_length_b 4.2286
_cell_length_c 13.7488
_cell_angle_alpha 90.00
_cell_angle_beta 98.83
_cell_angle_gamma 90.00
_symmetry_space_group_name_H-M 'P 1'
_symmetry_Int_Tables_number 1
_symmetry_space_group_name_Hall 'P 1'
loop_
_atom_site_label
_atom_site_type_symbol
_atom_site_fract_x
_atom_site_fract_y
_atom_site_fract_z
Y1 Y 0.0000 0.0000 0.0000
Y2 Y 0.3156 0.5000 0.6306
Y3 Y 0.6844 0.5000 0.3694
Ga1 Ga 0.0821 0.5000 0.1593
Ga2 Ga 0.2276 0.0000 0.4548
Ga3 Ga 0.4198 0.0000 0.8402
Ga4 Ga 0.5000 0.5000 0.0000
Ga5 Ga 0.5802 0.0000 0.1598
Ga6 Ga 0.7724 0.0000 0.5452
Ga7 Ga 0.9179 0.5000 0.8407
Au1 Au 0.1345 0.0000 0.2710
Au2 Au 0.8655 0.0000 0.7290
```

Peak list (6 most intense, 5° ≤ 2θ ≤ 70°, sorted by position)
Position (°2θ)	I_rel
31.45	69.5
33.85	59.6
34.17	75.1
37.93	100.0
42.56	81.5
42.77	60.0

***

No. 7
Simulated powder diffractogram
Compound: Th3As4Pd4
Radiation: a wavelength of 1.5418 Å
Structure: a cell relaxed with PBE
Intensities are scaled so that the largest is 100.

Crystal structure
```
data_Th3As4Pd4
_cell_length_a 13.5091
_cell_length_b 13.5091
_cell_length_c 4.3216
_cell_angle_alpha 96.29
_cell_angle_beta 96.29
_cell_angle_gamma 17.18
_symmetry_space_group_name_H-M 'P 1'
_symmetry_Int_Tables_number 1
_symmetry_space_group_name_Hall 'P 1'
loop_
_atom_site_label
_atom_site_type_symbol
_atom_site_fract_x
_atom_site_fract_y
_atom_site_fract_z
Th1 Th 0.0000 0.0000 0.0000
Th2 Th 0.1508 0.1508 0.6815
Th3 Th 0.8492 0.8492 0.3185
As1 As 0.3072 0.3072 0.7898
As2 As 0.4464 0.4464 0.3833
As3 As 0.5536 0.5536 0.6167
As4 As 0.6928 0.6928 0.2102
Pd1 Pd 0.2546 0.2546 0.2526
Pd2 Pd 0.4007 0.4007 0.8470
Pd3 Pd 0.5993 0.5993 0.1530
Pd4 Pd 0.7454 0.7454 0.7474
```

Peak list (6 most intense, 5° ≤ 2θ ≤ 70°, sorted by position)
Position (°2θ)	I_rel
32.39	91.5
32.81	74.2
33.70	100.0
36.00	43.9
41.88	55.4
44.93	40.2

***

No. 8
Simulated powder diffractogram
Compound: YSc4Tl
Radiation: a wavelength of 1.5418 Å
Structure: a cell relaxed with PBE
Intensities are scaled so that the largest is 100.

Crystal structure
```
data_YSc4Tl
_cell_length_a 9.5312
_cell_length_b 9.5312
_cell_length_c 6.9735
_cell_angle_alpha 90.00
_cell_angle_beta 90.00
_cell_angle_gamma 150.31
_symmetry_space_group_name_H-M 'P 1'
_symmetry_Int_Tables_number 1
_symmetry_space_group_name_Hall 'P 1'
loop_
_atom_site_label
_atom_site_type_symbol
_atom_site_fract_x
_atom_site_fract_y
_atom_site_fract_z
Y1 Y 0.1202 0.8798 0.7500
Y2 Y 0.8798 0.1202 0.2500
Sc1 Sc 0.0648 0.9352 0.2500
Sc2 Sc 0.3336 0.6664 0.5364
Sc3 Sc 0.3336 0.6664 0.9636
Sc4 Sc 0.5000 0.5000 0.0000
Sc5 Sc 0.5000 0.5000 0.5000
Sc6 Sc 0.6664 0.3336 0.0364
Sc7 Sc 0.6664 0.3336 0.4636
Sc8 Sc 0.9352 0.0648 0.7500
Tl1 Tl 0.2221 0.7779 0.2500
Tl2 Tl 0.7779 0.2221 0.7500
```

Peak list (6 most intense, 5° ≤ 2θ ≤ 70°, sorted by position)
Position (°2θ)	I_rel
9.60	88.5
22.75	42.9
26.59	66.6
31.88	100.0
33.05	55.0
36.81	39.4

***

No. 9
Simulated powder diffractogram
Compound: SrPuH2F8
Radiation: a wavelength of 1.5418 Å
Structure: a cell relaxed with PBE
Intensities are scaled so that the largest is 100.

Crystal structure
```
data_SrPuH2F8
_cell_length_a 3.9185
_cell_length_b 5.5656
_cell_length_c 8.3290
_cell_angle_alpha 100.30
_cell_angle_beta 90.08
_cell_angle_gamma 110.41
_symmetry_space_group_name_H-M 'P 1'
_symmetry_Int_Tables_number 1
_symmetry_space_group_name_Hall 'P 1'
loop_
_atom_site_label
_atom_site_type_symbol
_atom_site_fract_x
_atom_site_fract_y
_atom_site_fract_z
Sr1 Sr 0.0000 0.0000 0.0000
Pu1 Pu 0.0000 0.0000 0.5000
H1 H 0.2522 0.5045 0.8481
H2 H 0.7478 0.4955 0.1519
F1 F 0.1000 0.2026 0.3049
F2 F 0.1465 0.2952 0.7852
F3 F 0.3583 0.7146 0.9320
F4 F 0.3854 0.7692 0.4428
F5 F 0.6146 0.2308 0.5572
F6 F 0.6417 0.2854 0.0680
F7 F 0.8535 0.7048 0.2148
F8 F 0.9000 0.7974 0.6951
```

Peak list (6 most intense, 5° ≤ 2θ ≤ 70°, sorted by position)
Position (°2θ)	I_rel
10.82	58.3
17.32	100.0
21.74	57.4
24.32	95.9
25.14	48.2
44.21	40.3

***

No. 10
Simulated powder diffractogram
Compound: ThTcP2Os
Radiation: a wavelength of 1.5418 Å
Structure: a cell relaxed with PBE
Intensities are scaled so that the largest is 100.

Crystal structure
```
data_ThTcP2Os
_cell_length_a 4.1689
_cell_length_b 4.1689
_cell_length_c 9.8168
_cell_angle_alpha 90.00
_cell_angle_beta 90.00
_cell_angle_gamma 90.00
_symmetry_space_group_name_H-M 'P 1'
_symmetry_Int_Tables_number 1
_symmetry_space_group_name_Hall 'P 1'
loop_
_atom_site_label
_atom_site_type_symbol
_atom_site_fract_x
_atom_site_fract_y
_atom_site_fract_z
Th1 Th 0.0000 0.0000 0.0000
Th2 Th 0.5000 0.5000 0.5000
Tc1 Tc 0.0000 0.5000 0.2500
Tc2 Tc 0.5000 0.0000 0.7500
P1 P 0.0000 0.0000 0.3662
P2 P 0.0000 0.0000 0.6338
P3 P 0.5000 0.5000 0.1338
P4 P 0.5000 0.5000 0.8662
Os1 Os 0.0000 0.5000 0.7500
Os2 Os 0.5000 0.0000 0.2500
```

Peak list (6 most intense, 5° ≤ 2θ ≤ 70°, sorted by position)
Position (°2θ)	I_rel
23.18	45.0
34.86	34.0
35.52	100.0
43.41	36.8
58.06	20.1
65.22	19.2

***

No. 11
Simulated powder diffractogram
Compound: Mn5S8
Radiation: a wavelength of 1.5418 Å
Structure: a cell relaxed with PBE
Intensities are scaled so that the largest is 100.

Crystal structure
```
data_Mn5S8
_cell_length_a 6.9254
_cell_length_b 6.9254
_cell_length_c 6.9254
_cell_angle_alpha 60.00
_cell_angle_beta 60.00
_cell_angle_gamma 60.00
_symmetry_space_group_name_H-M 'P 1'
_symmetry_Int_Tables_number 1
_symmetry_space_group_name_Hall 'P 1'
loop_
_atom_site_label
_atom_site_type_symbol
_atom_site_fract_x
_atom_site_fract_y
_atom_site_fract_z
Mn1 Mn 0.0000 0.0000 0.0000
Mn2 Mn 0.1412 0.6196 0.6196
Mn3 Mn 0.6196 0.1412 0.6196
Mn4 Mn 0.6196 0.6196 0.1412
Mn5 Mn 0.6196 0.6196 0.6196
S1 S 0.3840 0.3840 0.3840
S2 S 0.3840 0.3840 0.8481
S3 S 0.3840 0.8481 0.3840
S4 S 0.4082 0.8639 0.8639
S5 S 0.8481 0.3840 0.3840
S6 S 0.8639 0.4082 0.8639
S7 S 0.8639 0.8639 0.4082
S8 S 0.8639 0.8639 0.8639
```

Peak list (6 most intense, 5° ≤ 2θ ≤ 70°, sorted by position)
Position (°2θ)	I_rel
15.67	72.1
30.27	84.1
36.70	100.0
48.29	48.3
52.88	97.3
66.10	18.5

***

No. 12
Simulated powder diffractogram
Compound: Sr2LiAl3Zn12
Radiation: a wavelength of 1.5418 Å
Structure: a cell relaxed with PBE
Intensities are scaled so that the largest is 100.

Crystal structure
```
data_Sr2LiAl3Zn12
_cell_length_a 7.0488
_cell_length_b 7.0488
_cell_length_c 7.0488
_cell_angle_alpha 87.05
_cell_angle_beta 87.05
_cell_angle_gamma 87.05
_symmetry_space_group_name_H-M 'P 1'
_symmetry_Int_Tables_number 1
_symmetry_space_group_name_Hall 'P 1'
loop_
_atom_site_label
_atom_site_type_symbol
_atom_site_fract_x
_atom_site_fract_y
_atom_site_fract_z
Sr1 Sr 0.2014 0.2014 0.2014
Sr2 Sr 0.7986 0.7986 0.7986
Li1 Li 0.5000 0.5000 0.5000
Al1 Al 0.0000 0.5000 0.5000
Al2 Al 0.5000 0.0000 0.5000
Al3 Al 0.5000 0.5000 0.0000
Zn1 Zn 0.0900 0.0900 0.6267
Zn2 Zn 0.0900 0.6267 0.0900
Zn3 Zn 0.2382 0.6930 0.6930
Zn4 Zn 0.3070 0.3070 0.7618
Zn5 Zn 0.3070 0.7618 0.3070
Zn6 Zn 0.3733 0.9100 0.9100
Zn7 Zn 0.6267 0.0900 0.0900
Zn8 Zn 0.6930 0.2382 0.6930
Zn9 Zn 0.6930 0.6930 0.2382
Zn10 Zn 0.7618 0.3070 0.3070
Zn11 Zn 0.9100 0.3733 0.9100
Zn12 Zn 0.9100 0.9100 0.3733
```

Peak list (6 most intense, 5° ≤ 2θ ≤ 70°, sorted by position)
Position (°2θ)	I_rel
25.34	21.6
31.42	14.2
37.04	100.0
41.24	77.5
56.61	29.1
69.60	27.3

***

Please write out number 11 again, unchanged.
Simulated powder diffractogram
Compound: Mn5S8
Radiation: a wavelength of 1.5418 Å
Structure: a cell relaxed with PBE
Intensities are scaled so that the largest is 100.

Crystal structure
```
data_Mn5S8
_cell_length_a 6.9254
_cell_length_b 6.9254
_cell_length_c 6.9254
_cell_angle_alpha 60.00
_cell_angle_beta 60.00
_cell_angle_gamma 60.00
_symmetry_space_group_name_H-M 'P 1'
_symmetry_Int_Tables_number 1
_symmetry_space_group_name_Hall 'P 1'
loop_
_atom_site_label
_atom_site_type_symbol
_atom_site_fract_x
_atom_site_fract_y
_atom_site_fract_z
Mn1 Mn 0.0000 0.0000 0.0000
Mn2 Mn 0.1412 0.6196 0.6196
Mn3 Mn 0.6196 0.1412 0.6196
Mn4 Mn 0.6196 0.6196 0.1412
Mn5 Mn 0.6196 0.6196 0.6196
S1 S 0.3840 0.3840 0.3840
S2 S 0.3840 0.3840 0.8481
S3 S 0.3840 0.8481 0.3840
S4 S 0.4082 0.8639 0.8639
S5 S 0.8481 0.3840 0.3840
S6 S 0.8639 0.4082 0.8639
S7 S 0.8639 0.8639 0.4082
S8 S 0.8639 0.8639 0.8639
```

Peak list (6 most intense, 5° ≤ 2θ ≤ 70°, sorted by position)
Position (°2θ)	I_rel
15.67	72.1
30.27	84.1
36.70	100.0
48.29	48.3
52.88	97.3
66.10	18.5